# 1
Computed powder diffraction line list
Compound: Tb2Dy6Ho
Radiation: copper Kα
Structure: a crystal structure in Alexandria, relaxed with GGA-PBE
Peak positions follow from Bragg's law for the DFT cell and can differ from measured ones.

The 10 most intense peaks (2θ = 10–90°), by intensity:
| 2θ (°) | d_spacing | I/Imax | index |
| --- | --- | --- | --- |
| 30.97 | 2.887 | 100 | 1 1 1 |
| 35.92 | 2.500 | 51 | 0 2 3 |
| 51.70 | 1.768 | 36 | 1 4 1 |
| 61.47 | 1.508 | 25 | 0 1 6 |
| 61.54 | 1.507 | 18 | 1 3 4 |
| 64.56 | 1.444 | 12 | 2 2 2 |
| 84.40 | 1.148 | 10 | 3 1 0 |
| 87.20 | 1.118 | 8 | 1 2 7 |
| 84.49 | 1.147 | 7 | 2 5 2 |
| 87.09 | 1.119 | 6 | 3 2 -3 |

Structure:
```
data_Tb2Dy6Ho
_cell_length_a 3.539
_cell_length_b 8.654
_cell_length_c 9.353
_cell_angle_alpha 90.02
_cell_angle_beta 100.85
_cell_angle_gamma 90.06
_symmetry_space_group_name_H-M 'P -1'
_symmetry_Int_Tables_number 2
loop_
_symmetry_equiv_pos_as_xyz
'x,y,z'
'-x,-y,-z'
loop_
_atom_site_label
_atom_site_fract_x
_atom_site_fract_y
_atom_site_fract_z
Tb1 0.055 0.333 0.111
Dy1 0.166 0.000 0.333
Dy2 0.278 0.667 0.555
Dy3 0.389 0.333 0.777
Ho1 0.500 0.000 0.000
```

# 2
Computed powder diffraction line list
Compound: TcHgO4
Radiation: copper Kα
Structure: a crystal structure in Alexandria, relaxed with GGA-PBE
Peak positions follow from Bragg's law for the DFT cell and can differ from measured ones.

The 10 most intense peaks (2θ = 10–90°), by intensity:
| 2θ (°) | d_spacing | I/Imax | index |
| --- | --- | --- | --- |
| 26.10 | 3.414 | 100 | 1 1 1 |
| 24.43 | 3.644 | 50 | 2 0 0 |
| 23.02 | 3.864 | 41 | 0 1 1 |
| 35.25 | 2.546 | 31 | 1 2 0 |
| 44.03 | 2.057 | 25 | 3 1 1 |
| 41.14 | 2.194 | 23 | 2 0 2 |
| 48.76 | 1.868 | 22 | 1 2 2 |
| 33.81 | 2.651 | 22 | 2 1 1 |
| 32.59 | 2.748 | 20 | 0 0 2 |
| 59.41 | 1.556 | 13 | 2 3 1 |

Structure:
```
data_TcHgO4
_cell_length_a 7.288
_cell_length_b 5.434
_cell_length_c 5.496
_cell_angle_alpha 90.00
_cell_angle_beta 90.00
_cell_angle_gamma 90.00
_symmetry_space_group_name_H-M 'P m n 21'
_symmetry_Int_Tables_number 31
loop_
_symmetry_equiv_pos_as_xyz
'x,y,z'
'-x+1/2,-y,z+1/2'
'-x,y,z'
'x+1/2,-y,z+1/2'
loop_
_atom_site_label
_atom_site_fract_x
_atom_site_fract_y
_atom_site_fract_z
Tc1 0.000 0.136 0.000
Hg1 0.000 0.590 0.465
O1 0.000 0.185 0.685
O2 0.000 0.820 0.061
O3 0.196 0.274 0.130
```

# 3
Computed powder diffraction line list
Compound: Tb3AlZn3
Radiation: copper Kα
Structure: a crystal structure in Alexandria, relaxed with GGA-PBE
Peak positions follow from Bragg's law for the DFT cell and can differ from measured ones.

The 10 most intense peaks (2θ = 10–90°), by intensity:
| 2θ (°) | d_spacing | I/Imax | index |
| --- | --- | --- | --- |
| 31.96 | 2.801 | 100 | 1 1 -4 |
| 32.68 | 2.740 | 52 | 3 1 -1 |
| 31.49 | 2.841 | 52 | 1 1 3 |
| 41.02 | 2.200 | 47 | 0 2 0 |
| 39.52 | 2.280 | 43 | 3 1 2 |
| 34.02 | 2.635 | 37 | 4 0 -2 |
| 32.88 | 2.724 | 30 | 3 1 -2 |
| 54.32 | 1.689 | 30 | 4 2 -2 |
| 39.40 | 2.287 | 21 | 0 0 6 |
| 27.13 | 3.287 | 21 | 1 1 2 |

Structure:
```
data_Tb3AlZn3
_cell_length_a 10.547
_cell_length_b 4.401
_cell_length_c 14.524
_cell_angle_alpha 90.00
_cell_angle_beta 109.15
_cell_angle_gamma 90.00
_symmetry_space_group_name_H-M 'C 1 2/m 1'
_symmetry_Int_Tables_number 12
loop_
_symmetry_equiv_pos_as_xyz
'x,y,z'
'-x,-y,-z'
'-x,y,-z'
'x,-y,z'
'x+1/2,y+1/2,z'
'-x+1/2,-y+1/2,-z'
'-x+1/2,y+1/2,-z'
'x+1/2,-y+1/2,z'
loop_
_atom_site_label
_atom_site_fract_x
_atom_site_fract_y
_atom_site_fract_z
Tb1 0.038 0.000 0.384
Tb2 0.105 0.000 0.921
Tb3 0.246 0.500 0.773
Al1 0.249 0.500 0.396
Zn1 0.045 0.500 0.234
Zn2 0.107 0.500 0.075
Zn3 0.129 0.500 0.540
```

# 4
Computed powder diffraction line list
Compound: Al4PbS7
Radiation: copper Kα
Structure: a crystal structure in Alexandria, relaxed with GGA-PBE
Peak positions follow from Bragg's law for the DFT cell and can differ from measured ones.

The 10 most intense peaks (2θ = 10–90°), by intensity:
| 2θ (°) | d_spacing | I/Imax | index |
| --- | --- | --- | --- |
| 21.13 | 4.205 | 100 | 1 1 1 |
| 27.30 | 3.267 | 86 | 4 1 0 |
| 29.82 | 2.996 | 54 | 0 0 2 |
| 13.83 | 6.404 | 53 | 0 1 0 |
| 40.87 | 2.208 | 45 | 4 1 2 |
| 22.99 | 3.868 | 44 | 3 0 1 |
| 32.24 | 2.776 | 42 | 1 2 1 |
| 18.12 | 4.896 | 41 | 2 1 0 |
| 26.93 | 3.311 | 36 | 3 1 1 |
| 15.90 | 5.575 | 32 | 1 0 1 |

Structure:
```
data_Al4PbS7
_cell_length_a 15.195
_cell_length_b 6.404
_cell_length_c 5.993
_cell_angle_alpha 90.00
_cell_angle_beta 90.00
_cell_angle_gamma 90.00
_symmetry_space_group_name_H-M 'P m n 21'
_symmetry_Int_Tables_number 31
loop_
_symmetry_equiv_pos_as_xyz
'x,y,z'
'-x+1/2,-y,z+1/2'
'-x,y,z'
'x+1/2,-y,z+1/2'
loop_
_atom_site_label
_atom_site_fract_x
_atom_site_fract_y
_atom_site_fract_z
Al1 0.123 0.159 0.000
Al2 0.246 0.680 0.989
Pb1 0.000 0.501 0.457
S1 0.000 0.345 0.907
S2 0.122 0.830 0.885
S3 0.123 0.186 0.381
S4 0.246 0.336 0.875
```

# 5
Computed powder diffraction line list
Compound: Pu2MnOs3
Radiation: copper Kα
Structure: a crystal structure in Alexandria, relaxed with GGA-PBE
Peak positions follow from Bragg's law for the DFT cell and can differ from measured ones.

The 10 most intense peaks (2θ = 10–90°), by intensity:
| 2θ (°) | d_spacing | I/Imax | index |
| --- | --- | --- | --- |
| 39.79 | 2.266 | 100 | 0 2 1 |
| 33.85 | 2.648 | 41 | 1 0 4 |
| 39.95 | 2.257 | 26 | 0 1 5 |
| 41.63 | 2.170 | 26 | 2 0 2 |
| 64.46 | 1.445 | 24 | 1 2 5 |
| 60.37 | 1.533 | 19 | 2 1 4 |
| 70.88 | 1.330 | 16 | 2 2 0 |
| 71.22 | 1.324 | 16 | 2 0 8 |
| 33.71 | 2.659 | 13 | 1 1 0 |
| 64.64 | 1.442 | 12 | 0 2 7 |

Structure:
```
data_Pu2MnOs3
_cell_length_a 5.3180
_cell_length_b 5.3180
_cell_length_c 12.9453
_cell_angle_alpha 90.00
_cell_angle_beta 90.00
_cell_angle_gamma 120.00
_symmetry_space_group_name_H-M 'R -3 m'
_symmetry_Int_Tables_number 166
_symmetry_space_group_name_Hall '-R 3 2"'
loop_
_atom_site_label
_atom_site_fract_x
_atom_site_fract_y
_atom_site_fract_z
Pu1 0.0000 0.0000 0.1232
Mn1 0.0000 0.0000 0.5000
Os1 0.0000 0.5000 0.0000
```

# 6
Computed powder diffraction line list
Compound: Sc4GePbC
Radiation: copper Kα
Structure: a crystal structure in Alexandria, relaxed with GGA-PBE
Peak positions follow from Bragg's law for the DFT cell and can differ from measured ones.

The 10 most intense peaks (2θ = 10–90°), by intensity:
| 2θ (°) | d_spacing | I/Imax | index |
| --- | --- | --- | --- |
| 37.75 | 2.383 | 100 | 2 4 0 |
| 28.54 | 3.128 | 60 | 2 0 0 |
| 40.80 | 2.212 | 59 | 2 0 2 |
| 27.14 | 3.285 | 49 | 1 3 1 |
| 31.07 | 2.879 | 38 | 2 2 0 |
| 20.97 | 4.236 | 35 | 1 1 1 |
| 15.40 | 5.754 | 30 | 1 1 0 |
| 55.98 | 1.643 | 30 | 2 6 2 |
| 72.26 | 1.308 | 29 | 4 4 2 |
| 36.64 | 2.453 | 29 | 0 6 0 |

Structure:
```
data_Sc4GePbC
_cell_length_a 6.252
_cell_length_b 14.718
_cell_length_c 6.259
_cell_angle_alpha 90.00
_cell_angle_beta 90.00
_cell_angle_gamma 90.00
_symmetry_space_group_name_H-M 'C m c m'
_symmetry_Int_Tables_number 63
_symmetry_space_group_name_Hall '-C 2c 2'
loop_
_atom_site_label
_atom_site_fract_x
_atom_site_fract_y
_atom_site_fract_z
Sc1 0.000 0.088 0.250
Sc2 0.000 0.403 0.250
Sc3 0.250 0.250 0.000
Ge1 0.000 0.113 0.750
Pb1 0.000 0.397 0.750
C1 0.000 0.247 0.250
```

# 7
Computed powder diffraction line list
Compound: Sn2SbPd
Radiation: copper Kα
Structure: a crystal structure in Alexandria, relaxed with GGA-PBE
Peak positions follow from Bragg's law for the DFT cell and can differ from measured ones.

The 10 most intense peaks (2θ = 10–90°), by intensity:
| 2θ (°) | d_spacing | I/Imax | index |
| --- | --- | --- | --- |
| 34.48 | 2.601 | 100 | 1 0 2 |
| 37.45 | 2.401 | 47 | 1 1 0 |
| 65.67 | 1.422 | 31 | 2 1 2 |
| 54.01 | 1.698 | 16 | 2 0 0 |
| 59.76 | 1.547 | 12 | 1 1 4 |
| 42.81 | 2.113 | 8 | 1 0 3 |
| 44.78 | 2.024 | 7 | 0 0 4 |
| 72.70 | 1.301 | 7 | 2 0 4 |
| 50.91 | 1.794 | 7 | 1 1 3 |
| 63.68 | 1.461 | 6 | 1 0 5 |

Structure:
```
data_Sn2SbPd
_cell_length_a 3.396
_cell_length_b 3.396
_cell_length_c 8.095
_cell_angle_alpha 90.00
_cell_angle_beta 90.00
_cell_angle_gamma 90.00
_symmetry_space_group_name_H-M 'P 4/m m m'
_symmetry_Int_Tables_number 123
_symmetry_space_group_name_Hall '-P 4 2'
loop_
_atom_site_label
_atom_site_fract_x
_atom_site_fract_y
_atom_site_fract_z
Sn1 0.000 0.000 0.206
Sb1 0.500 0.500 0.500
Pd1 0.500 0.500 0.000
```

# 8
Computed powder diffraction line list
Compound: Zr3Fe2Ge4
Radiation: copper Kα
Structure: a crystal structure in Alexandria, relaxed with GGA-PBE
Peak positions follow from Bragg's law for the DFT cell and can differ from measured ones.

The 10 most intense peaks (2θ = 10–90°), by intensity:
| 2θ (°) | d_spacing | I/Imax | index |
| --- | --- | --- | --- |
| 35.78 | 2.509 | 100 | 3 1 0 |
| 44.56 | 2.033 | 74 | 3 1 -3 |
| 34.61 | 2.592 | 67 | 3 1 -1 |
| 36.65 | 2.452 | 63 | 1 1 2 |
| 44.78 | 2.024 | 62 | 0 2 0 |
| 36.99 | 2.430 | 42 | 0 0 3 |
| 35.37 | 2.538 | 33 | 2 0 -3 |
| 58.29 | 1.583 | 25 | 2 2 -3 |
| 59.44 | 1.555 | 21 | 0 2 3 |
| 47.25 | 1.924 | 18 | 2 0 3 |

Structure:
```
data_Zr3Fe2Ge4
_cell_length_a 10.183
_cell_length_b 4.048
_cell_length_c 7.738
_cell_angle_alpha 90.00
_cell_angle_beta 109.59
_cell_angle_gamma 90.00
_symmetry_space_group_name_H-M 'C 1 2/m 1'
_symmetry_Int_Tables_number 12
loop_
_symmetry_equiv_pos_as_xyz
'x,y,z'
'-x,-y,-z'
'-x,y,-z'
'x,-y,z'
'x+1/2,y+1/2,z'
'-x+1/2,-y+1/2,-z'
'-x+1/2,y+1/2,-z'
'x+1/2,-y+1/2,z'
loop_
_atom_site_label
_atom_site_fract_x
_atom_site_fract_y
_atom_site_fract_z
Zr1 0.000 0.000 0.000
Zr2 0.131 0.500 0.690
Fe1 0.190 0.500 0.370
Ge1 0.085 0.000 0.394
Ge2 0.204 0.500 0.076
```

# 9
Computed powder diffraction line list
Compound: Li6NpN4
Radiation: copper Kα
Structure: a crystal structure in Alexandria, relaxed with GGA-PBE
Peak positions follow from Bragg's law for the DFT cell and can differ from measured ones.

The 10 most intense peaks (2θ = 10–90°), by intensity:
| 2θ (°) | d_spacing | I/Imax | index |
| --- | --- | --- | --- |
| 22.51 | 3.949 | 100 | 1 0 1 |
| 17.30 | 5.127 | 69 | 1 1 0 |
| 33.56 | 2.671 | 55 | 2 1 1 |
| 24.56 | 3.625 | 33 | 2 0 0 |
| 42.02 | 2.150 | 24 | 3 0 1 |
| 39.29 | 2.293 | 20 | 3 1 0 |
| 49.27 | 1.849 | 18 | 3 2 1 |
| 42.24 | 2.140 | 18 | 1 1 2 |
| 55.80 | 1.647 | 17 | 4 1 1 |
| 55.98 | 1.643 | 16 | 3 1 2 |

Structure:
```
data_Li6NpN4
_cell_length_a 7.251
_cell_length_b 7.251
_cell_length_c 4.709
_cell_angle_alpha 90.00
_cell_angle_beta 90.00
_cell_angle_gamma 90.00
_symmetry_space_group_name_H-M 'P 42/n m c'
_symmetry_Int_Tables_number 137
loop_
_symmetry_equiv_pos_as_xyz
'x,y,z'
'-x,-y,-z'
'-y+1/2,x,z+1/2'
'y+1/2,-x,-z+1/2'
'-x+1/2,-y+1/2,z'
'x+1/2,y+1/2,-z'
'y,-x+1/2,z+1/2'
'-y,x+1/2,-z+1/2'
'x+1/2,-y,-z'
'-x+1/2,y,z'
'-y,-x,-z+1/2'
'y,x,z+1/2'
'-x,y+1/2,-z'
'x,-y+1/2,z'
'y+1/2,x+1/2,-z+1/2'
'-y+1/2,-x+1/2,z+1/2'
loop_
_atom_site_label
_atom_site_fract_x
_atom_site_fract_y
_atom_site_fract_z
Li1 0.035 0.535 0.250
Li2 0.250 0.250 0.110
Np1 0.250 0.750 0.750
N1 0.015 0.250 0.368
```